Diffraction record for Ca3Dy3CuTe8. The X-ray diffraction stick pattern is computed, not measured: it uses DFT lattice parameters and positions (GGA-PBE) and Cu Kα, 1.54184 Å.
Peak positions follow from Bragg's law for the DFT cell and can differ from measured ones.

Crystal structure
```
data_Ca3Dy3CuTe8
_symmetry_space_group_name_H-M 'C 1 2/m 1'
_symmetry_Int_Tables_number 12
_cell_length_a 15.1635
_cell_length_b 8.7573
_cell_length_c 8.8813
_cell_angle_alpha 90.00
_cell_angle_beta 124.70
_cell_angle_gamma 90.00
loop_
_symmetry_equiv_pos_as_xyz
'x,y,z'
'-x,-y,-z'
'-x,y,-z'
'x,-y,z'
'x+1/2,y+1/2,z'
'-x+1/2,-y+1/2,-z'
'-x+1/2,y+1/2,-z'
'x+1/2,-y+1/2,z'
loop_
_atom_site_label
_atom_site_fract_x
_atom_site_fract_y
_atom_site_fract_z
Ca1 0.0000 0.0000 0.0000
Ca2 0.2500 0.2500 0.0000
Dy1 0.0000 0.5000 0.5000
Dy2 0.2500 0.2500 0.5000
Cu1 0.0000 0.0000 0.5000
Te1 0.0039 0.2426 0.2692
Te2 0.2376 0.0000 0.7300
Te3 0.2480 0.5000 0.7438
```

The 12 most intense peaks (10° ≤ 2θ ≤ 90°), low angle first:
Position (°2θ)	I_rel	index
12.12	235	0 0 1
23.82	85	2 2 -1
28.64	1000	2 2 -2
37.26	77	4 0 1
40.64	372	4 0 -4
41.24	371	0 4 0
43.14	66	6 2 -1
50.98	196	4 4 0
59.29	119	4 4 -4
66.72	156	6 2 -6
67.57	165	8 4 -4
74.77	117	2 6 2


Diffraction record for CaDyZnCu. The X-ray diffraction stick pattern is computed, not measured: it uses DFT lattice parameters and positions (GGA-PBE) and Cu Kα, 1.54184 Å.
Peak positions follow from Bragg's law for the DFT cell and can differ from measured ones.

Crystal structure
```
data_CaDyZnCu
_symmetry_space_group_name_H-M 'P 4 m m'
_symmetry_Int_Tables_number 99
_cell_length_a 3.5662
_cell_length_b 3.5662
_cell_length_c 7.1516
_cell_angle_alpha 90.00
_cell_angle_beta 90.00
_cell_angle_gamma 90.00
loop_
_symmetry_equiv_pos_as_xyz
'x,y,z'
'-y,x,z'
'-x,-y,z'
'y,-x,z'
'-x,y,z'
'y,x,z'
'x,-y,z'
'-y,-x,z'
loop_
_atom_site_label
_atom_site_fract_x
_atom_site_fract_y
_atom_site_fract_z
Ca1 0.0000 0.0000 0.0000
Dy1 0.0000 0.0000 0.5151
Zn1 0.5000 0.5000 0.2754
Cu1 0.5000 0.5000 0.7269
```

The 12 most intense peaks (10° ≤ 2θ ≤ 90°), low angle first:
Position (°2θ)	I_rel	index
12.38	333	0 0 1
27.96	101	1 0 1
35.57	1000	1 1 0
37.82	101	1 1 1
45.78	93	1 0 3
51.09	50	0 0 4
51.23	118	2 0 0
52.91	47	2 0 1
63.88	324	2 1 2
71.12	50	2 1 3
75.27	60	2 0 4
86.24	99	3 1 0


Diffraction record for CaEuInCu. The X-ray diffraction stick pattern is computed, not measured: it uses DFT lattice parameters and positions (GGA-PBE) and Cu Kα, 1.54184 Å.
Peak positions follow from Bragg's law for the DFT cell and can differ from measured ones.

Crystal structure
```
data_CaEuInCu
_symmetry_space_group_name_H-M 'F -4 3 m'
_symmetry_Int_Tables_number 216
_symmetry_space_group_name_Hall 'F -4 2 3'
_cell_length_a 7.5536
_cell_length_b 7.5536
_cell_length_c 7.5536
_cell_angle_alpha 90.00
_cell_angle_beta 90.00
_cell_angle_gamma 90.00
loop_
_atom_site_label
_atom_site_fract_x
_atom_site_fract_y
_atom_site_fract_z
Ca1 0.0000 0.0000 0.0000
Eu1 0.0000 0.0000 0.5000
In1 0.2500 0.2500 0.2500
Cu1 0.2500 0.2500 0.7500
```

The 12 most intense peaks (10° ≤ 2θ ≤ 90°), low angle first:
Position (°2θ)	I_rel	index
20.36	219	1 1 1
33.56	1000	2 2 0
39.57	128	3 1 1
48.19	176	4 0 0
52.83	56	3 3 1
60.00	356	4 2 2
64.05	43	5 1 1
70.53	108	4 4 0
74.28	43	5 3 1
80.40	150	6 2 0
84.02	16	5 3 3
90.00	39	4 4 4


Diffraction record for CaEu2Cu2O6. The X-ray diffraction stick pattern is computed, not measured: it uses DFT lattice parameters and positions (GGA-PBE) and Cu Kα, 1.54184 Å.
Peak positions follow from Bragg's law for the DFT cell and can differ from measured ones.

Crystal structure
```
data_CaEu2Cu2O6
_symmetry_space_group_name_H-M 'C 1 2/c 1'
_symmetry_Int_Tables_number 15
_cell_length_a 15.3345
_cell_length_b 6.2356
_cell_length_c 6.2773
_cell_angle_alpha 90.00
_cell_angle_beta 105.44
_cell_angle_gamma 90.00
loop_
_symmetry_equiv_pos_as_xyz
'x,y,z'
'-x,-y,-z'
'-x,y,-z+1/2'
'x,-y,z+1/2'
'x+1/2,y+1/2,z'
'-x+1/2,-y+1/2,-z'
'-x+1/2,y+1/2,-z+1/2'
'x+1/2,-y+1/2,z+1/2'
loop_
_atom_site_label
_atom_site_fract_x
_atom_site_fract_y
_atom_site_fract_z
Ca1 0.0000 0.0536 0.2500
Eu1 0.1968 0.1878 0.7196
Cu1 0.0829 0.4046 0.9989
O1 0.0399 0.3138 0.5254
O2 0.1181 0.1112 0.0251
O3 0.2016 0.4953 0.4851
```

The 12 most intense peaks (10° ≤ 2θ ≤ 90°), low angle first:
Position (°2θ)	I_rel	index
11.98	469	2 0 0
24.60	257	3 1 -1
28.76	517	2 0 -2
29.92	1000	3 1 1
32.89	247	4 0 -2
33.11	533	2 2 -1
33.24	463	5 1 -1
34.92	380	1 1 2
40.04	256	5 1 1
41.03	248	2 2 -2
43.95	333	7 1 -1
53.91	289	6 0 2


Diffraction record for Ca2EuCu2O6. The X-ray diffraction stick pattern is computed, not measured: it uses DFT lattice parameters and positions (GGA-PBE) and Cu Kα, 1.54184 Å.
Peak positions follow from Bragg's law for the DFT cell and can differ from measured ones.

Crystal structure
```
data_Ca2EuCu2O6
_symmetry_space_group_name_H-M 'C 1 c 1'
_symmetry_Int_Tables_number 9
_cell_length_a 15.1722
_cell_length_b 6.1642
_cell_length_c 6.2653
_cell_angle_alpha 90.00
_cell_angle_beta 105.26
_cell_angle_gamma 90.00
loop_
_symmetry_equiv_pos_as_xyz
'x,y,z'
'x,-y,z+1/2'
'x+1/2,y+1/2,z'
'x+1/2,-y+1/2,z+1/2'
loop_
_atom_site_label
_atom_site_fract_x
_atom_site_fract_y
_atom_site_fract_z
Ca1 0.0000 0.0473 0.0000
Ca2 0.1933 0.1865 0.4747
Eu1 0.2946 0.3104 0.0276
Cu1 0.0799 0.4091 0.7529
Cu2 0.4127 0.0991 0.7503
O1 0.0349 0.3104 0.2748
O2 0.1163 0.1171 0.7819
O3 0.1961 0.4878 0.2381
O4 0.2959 0.0015 0.7625
O5 0.3784 0.3917 0.7294
O6 0.4571 0.1824 0.2298
```

The 12 most intense peaks (10° ≤ 2θ ≤ 90°), low angle first:
Position (°2θ)	I_rel	index
12.09	316	2 0 0
20.33	560	1 1 -1
22.55	316	1 1 1
28.84	496	2 0 -2
30.11	1000	3 1 1
31.50	268	2 2 0
33.10	351	4 0 -2
33.46	580	2 2 -1
33.61	351	5 1 -1
33.90	281	5 1 0
35.02	565	1 1 2
44.46	432	7 1 -1


Diffraction record for CaCu3F8. The X-ray diffraction stick pattern is computed, not measured: it uses DFT lattice parameters and positions (GGA-PBE) and Cu Kα, 1.54184 Å.
Peak positions follow from Bragg's law for the DFT cell and can differ from measured ones.

Crystal structure
```
data_CaCu3F8
_symmetry_space_group_name_H-M 'P -3'
_symmetry_Int_Tables_number 147
_cell_length_a 5.9175
_cell_length_b 5.9175
_cell_length_c 6.2218
_cell_angle_alpha 90.00
_cell_angle_beta 90.00
_cell_angle_gamma 120.00
loop_
_symmetry_equiv_pos_as_xyz
'x,y,z'
'-x,-y,-z'
'-y,x-y,z'
'y,-x+y,-z'
'-x+y,-x,z'
'x-y,x,-z'
loop_
_atom_site_label
_atom_site_fract_x
_atom_site_fract_y
_atom_site_fract_z
Ca1 0.0000 0.0000 0.0000
Cu1 0.0000 0.0000 0.5000
Cu2 0.3333 0.6667 0.7804
F1 0.1462 0.2963 0.7127
F2 0.3333 0.6667 0.0758
```

The 12 most intense peaks (10° ≤ 2θ ≤ 90°), low angle first:
Position (°2θ)	I_rel	index
17.30	170	1 0 0
22.48	1000	0 1 1
30.21	751	1 1 0
33.70	299	1 0 2
45.88	336	0 2 2
47.28	150	0 1 3
49.27	278	3 -2 1
53.65	127	3 0 0
55.92	224	3 -2 2
62.81	171	2 2 0
65.99	111	2 1 3
73.21	68	4 -3 2


Diffraction record for CaCuF5. The X-ray diffraction stick pattern is computed, not measured: it uses DFT lattice parameters and positions (GGA-PBE) and Cu Kα, 1.54184 Å.
Peak positions follow from Bragg's law for the DFT cell and can differ from measured ones.

Crystal structure
```
data_CaCuF5
_symmetry_space_group_name_H-M 'P -1'
_symmetry_Int_Tables_number 2
_cell_length_a 5.5050
_cell_length_b 5.5318
_cell_length_c 7.7647
_cell_angle_alpha 110.55
_cell_angle_beta 96.38
_cell_angle_gamma 109.40
loop_
_symmetry_equiv_pos_as_xyz
'x,y,z'
'-x,-y,-z'
loop_
_atom_site_label
_atom_site_fract_x
_atom_site_fract_y
_atom_site_fract_z
Ca1 0.0463 0.2936 0.2466
Cu1 0.5000 0.0000 0.5000
Cu2 0.5000 0.5000 0.0000
F1 0.2026 0.7308 0.5269
F2 0.2240 0.1567 0.9794
F3 0.2375 0.5695 0.8741
F4 0.2806 0.1215 0.3927
F5 0.4244 0.6730 0.2384
```

The 12 most intense peaks (10° ≤ 2θ ≤ 90°), low angle first:
Position (°2θ)	I_rel	index
17.69	285	0 1 -1
21.89	1000	1 -1 1
25.35	192	-1 1 1
26.65	495	0 1 1
26.97	484	1 0 -2
27.98	456	1 1 -1
44.64	343	2 -2 2
46.62	261	-1 1 3
48.51	149	1 2 0
52.07	144	0 0 4
52.74	139	2 -1 3
66.53	165	1 -1 5


Diffraction record for CaGaCuF6. The X-ray diffraction stick pattern is computed, not measured: it uses DFT lattice parameters and positions (GGA-PBE) and Cu Kα, 1.54184 Å.
Peak positions follow from Bragg's law for the DFT cell and can differ from measured ones.

Crystal structure
```
data_CaGaCuF6
_symmetry_space_group_name_H-M 'P 42 n m'
_symmetry_Int_Tables_number 102
_cell_length_a 4.9917
_cell_length_b 4.9917
_cell_length_c 9.9515
_cell_angle_alpha 90.00
_cell_angle_beta 90.00
_cell_angle_gamma 90.00
loop_
_symmetry_equiv_pos_as_xyz
'x,y,z'
'-y+1/2,x+1/2,z+1/2'
'-x,-y,z'
'y+1/2,-x+1/2,z+1/2'
'-x+1/2,y+1/2,z+1/2'
'y,x,z'
'x+1/2,-y+1/2,z+1/2'
'-y,-x,z'
loop_
_atom_site_label
_atom_site_fract_x
_atom_site_fract_y
_atom_site_fract_z
Ca1 0.0000 0.0000 0.0000
Ga1 0.0000 0.0000 0.6638
Cu1 0.0000 0.0000 0.3265
F1 0.1835 0.1835 0.5199
F2 0.1868 0.1868 0.8082
F3 0.2278 0.2278 0.1621
```

The 12 most intense peaks (10° ≤ 2θ ≤ 90°), low angle first:
Position (°2θ)	I_rel	index
19.90	120	1 0 1
25.23	1000	1 1 0
32.41	593	1 0 3
37.20	174	1 1 3
49.20	676	2 1 3
51.81	214	2 2 0
55.40	93	0 0 6
58.47	110	3 1 0
61.80	137	1 1 6
62.45	251	3 0 3
79.26	92	2 2 6
85.36	97	4 1 3


Diffraction record for KCaCu2F8. The X-ray diffraction stick pattern is computed, not measured: it uses DFT lattice parameters and positions (GGA-PBE) and Cu Kα, 1.54184 Å.
Peak positions follow from Bragg's law for the DFT cell and can differ from measured ones.

Crystal structure
```
data_KCaCu2F8
_symmetry_space_group_name_H-M 'I -4'
_symmetry_Int_Tables_number 82
_cell_length_a 5.7968
_cell_length_b 5.7968
_cell_length_c 9.8332
_cell_angle_alpha 90.00
_cell_angle_beta 90.00
_cell_angle_gamma 90.00
loop_
_symmetry_equiv_pos_as_xyz
'x,y,z'
'y,-x,-z'
'-x,-y,z'
'-y,x,-z'
'x+1/2,y+1/2,z+1/2'
'y+1/2,-x+1/2,-z+1/2'
'-x+1/2,-y+1/2,z+1/2'
'-y+1/2,x+1/2,-z+1/2'
loop_
_atom_site_label
_atom_site_fract_x
_atom_site_fract_y
_atom_site_fract_z
K1 0.0000 0.0000 0.0000
Ca1 0.0000 0.5000 0.7500
Cu1 0.0000 0.0000 0.5000
Cu2 0.0000 0.5000 0.2500
F1 0.0370 0.3062 0.5182
F2 0.1662 0.7821 0.2340
```

The 12 most intense peaks (10° ≤ 2θ ≤ 90°), low angle first:
Position (°2θ)	I_rel	index
17.76	304	1 0 1
28.35	1000	1 1 2
30.85	328	2 0 0
31.35	149	1 0 3
36.55	470	0 0 4
44.19	167	2 2 0
48.56	190	2 0 4
53.34	612	1 3 2
58.65	138	2 2 4
60.88	112	1 1 6
78.25	162	1 3 6
84.50	100	4 2 4


Diffraction record for K2CaCuF6. The X-ray diffraction stick pattern is computed, not measured: it uses DFT lattice parameters and positions (GGA-PBE) and Cu Kα, 1.54184 Å.
Peak positions follow from Bragg's law for the DFT cell and can differ from measured ones.

Crystal structure
```
data_K2CaCuF6
_symmetry_space_group_name_H-M 'P m m n'
_symmetry_Int_Tables_number 59
_cell_length_a 6.0433
_cell_length_b 8.5488
_cell_length_c 6.0481
_cell_angle_alpha 90.00
_cell_angle_beta 90.00
_cell_angle_gamma 90.00
loop_
_symmetry_equiv_pos_as_xyz
'x,y,z'
'-x,-y,-z'
'-x+1/2,-y+1/2,z'
'x+1/2,y+1/2,-z'
'x+1/2,-y,-z'
'-x+1/2,y,z'
'-x,y+1/2,-z'
'x,-y+1/2,z'
loop_
_atom_site_label
_atom_site_fract_x
_atom_site_fract_y
_atom_site_fract_z
K1 0.2500 0.0000 0.2496
Ca1 0.2500 0.2500 0.7496
Cu1 0.2500 0.7500 0.7504
F1 0.0104 0.7500 0.5114
F2 0.0109 0.7500 0.9899
F3 0.2500 0.5108 0.7505
```

The 12 most intense peaks (10° ≤ 2θ ≤ 90°), low angle first:
Position (°2θ)	I_rel	index
17.97	106	1 1 0
20.78	251	1 0 1
29.55	1000	2 0 0
36.40	117	2 2 0
42.28	704	2 0 2
47.56	101	3 0 1
52.43	360	3 2 1
61.34	386	4 0 0
65.51	41	3 0 3
69.54	154	4 0 2
77.32	115	4 4 0
84.87	174	5 2 1


Diffraction record for RbCaCu2F8. The X-ray diffraction stick pattern is computed, not measured: it uses DFT lattice parameters and positions (GGA-PBE) and Cu Kα, 1.54184 Å.
Peak positions follow from Bragg's law for the DFT cell and can differ from measured ones.

Crystal structure
```
data_RbCaCu2F8
_symmetry_space_group_name_H-M 'P -3'
_symmetry_Int_Tables_number 147
_cell_length_a 5.7204
_cell_length_b 5.7204
_cell_length_c 8.0134
_cell_angle_alpha 90.00
_cell_angle_beta 90.00
_cell_angle_gamma 120.00
loop_
_symmetry_equiv_pos_as_xyz
'x,y,z'
'-x,-y,-z'
'-y,x-y,z'
'y,-x+y,-z'
'-x+y,-x,z'
'x-y,x,-z'
loop_
_atom_site_label
_atom_site_fract_x
_atom_site_fract_y
_atom_site_fract_z
Rb1 0.0000 0.0000 0.0000
Ca1 0.0000 0.0000 0.5000
Cu1 0.3333 0.6667 0.7450
F1 0.0492 0.3235 0.6811
F2 0.3333 0.6667 0.9710
```

The 12 most intense peaks (10° ≤ 2θ ≤ 90°), low angle first:
Position (°2θ)	I_rel	index
17.90	111	1 0 0
21.08	1000	1 0 1
28.65	663	0 1 2
31.27	584	1 1 0
33.26	266	1 1 1
33.55	107	0 0 3
38.28	130	0 1 3
42.93	299	0 2 2
50.02	175	2 1 1
54.06	250	3 -2 2
55.66	229	3 0 0
56.05	309	1 1 4